[1]
The following is a simulated PXRD pattern of PmTh2S4. It was derived from a crystal structure in Alexandria, relaxed with GGA-PBE, using Cu Kα X-rays.

Largest 10 diffraction maxima, most intense first, 10° ≤ 2θ ≤ 80°:
2θ = 23.9°, intensity 100, hkl 0 2 3; 2θ = 33.3°, intensity 51, hkl 1 3 2; 2θ = 31.2°, intensity 35, hkl 1 3 1; 2θ = 41.3°, intensity 34, hkl 1 1 5; 2θ = 26.7°, intensity 28, hkl 0 4 0; 2θ = 27.2°, intensity 26, hkl 1 1 2; 2θ = 24.7°, intensity 26, hkl 1 1 1; 2θ = 53.0°, intensity 24, hkl 2 2 3; 2θ = 45.4°, intensity 22, hkl 0 6 3; 2θ = 30.4°, intensity 20, hkl 1 3 0

Atomic structure:
```
data_PmTh2S4
_symmetry_space_group_name_H-M 'C m c m'
_symmetry_Int_Tables_number 63
_symmetry_space_group_name_Hall '-C 2c 2'
_cell_length_a 3.9019
_cell_length_b 13.3767
_cell_length_c 13.4648
_cell_angle_alpha 90.00
_cell_angle_beta 90.00
_cell_angle_gamma 90.00
loop_
_atom_site_label
_atom_site_type_symbol
_atom_site_fract_x
_atom_site_fract_y
_atom_site_fract_z
Pm1 Pm 0.0000 0.1230 0.2500
Th1 Th 0.0000 0.3620 0.0674
S1 S 0.0000 0.0000 0.0000
S2 S 0.0000 0.2796 0.6292
S3 S 0.0000 0.4673 0.2500
```


[2]
The following is a simulated PXRD pattern of Ba4HgPtBr2. It was derived from a crystal structure in Alexandria, relaxed with GGA-PBE, using Cu Kα X-rays.

Largest 10 diffraction maxima, most intense first, 10° ≤ 2θ ≤ 80°:
2θ = 26.1°, intensity 100, hkl 1 1 1; 2θ = 35.9°, intensity 59, hkl 1 1 -3; 2θ = 25.9°, intensity 50, hkl 2 0 -2; 2θ = 38.2°, intensity 36, hkl 3 1 -1; 2θ = 10.5°, intensity 35, hkl 0 0 1; 2θ = 47.0°, intensity 20, hkl 2 2 -2; 2θ = 38.6°, intensity 18, hkl 0 2 0; 2θ = 53.7°, intensity 12, hkl 2 2 2; 2θ = 67.6°, intensity 11, hkl 4 2 -4; 2θ = 42.8°, intensity 10, hkl 0 0 4

Atomic structure:
```
data_Ba4HgPtBr2
_symmetry_space_group_name_H-M 'P 1 2/m 1'
_symmetry_Int_Tables_number 10
_cell_length_a 8.1773
_cell_length_b 4.6684
_cell_length_c 8.8834
_cell_angle_alpha 90.00
_cell_angle_beta 108.01
_cell_angle_gamma 90.00
loop_
_symmetry_equiv_pos_as_xyz
'x,y,z'
'-x,-y,-z'
'-x,y,-z'
'x,-y,z'
loop_
_atom_site_label
_atom_site_type_symbol
_atom_site_fract_x
_atom_site_fract_y
_atom_site_fract_z
Ba1 Ba 0.2252 0.0000 0.2162
Ba2 Ba 0.2394 0.5000 0.7768
Hg1 Hg 0.5000 0.0000 0.0000
Pt1 Pt 0.0000 0.5000 0.0000
Br1 Br 0.0000 0.0000 0.5000
Br2 Br 0.5000 0.5000 0.5000
```


[3]
The following is a simulated PXRD pattern of Nd6AgSn2. It was derived from a crystal structure in Alexandria, relaxed with GGA-PBE, using Cu Kα X-rays.

Largest 10 diffraction maxima, most intense first, 10° ≤ 2θ ≤ 80°:
2θ = 34.0°, intensity 100, hkl 1 3 -1; 2θ = 31.4°, intensity 82, hkl 2 1 -3; 2θ = 30.8°, intensity 74, hkl 1 1 2; 2θ = 31.7°, intensity 50, hkl 1 1 -4; 2θ = 26.8°, intensity 48, hkl 0 2 2; 2θ = 26.4°, intensity 46, hkl 1 2 -2; 2θ = 30.0°, intensity 44, hkl 1 2 1; 2θ = 33.2°, intensity 42, hkl 0 2 3; 2θ = 34.1°, intensity 42, hkl 2 1 0; 2θ = 30.6°, intensity 41, hkl 1 2 -3

Atomic structure:
```
data_Nd6AgSn2
_symmetry_space_group_name_H-M 'P 1 21/c 1'
_symmetry_Int_Tables_number 14
_cell_length_a 6.3814
_cell_length_b 8.6980
_cell_length_c 11.9537
_cell_angle_alpha 90.00
_cell_angle_beta 120.19
_cell_angle_gamma 90.00
loop_
_symmetry_equiv_pos_as_xyz
'x,y,z'
'-x,-y,-z'
'-x,y+1/2,-z+1/2'
'x,-y+1/2,z+1/2'
loop_
_atom_site_label
_atom_site_type_symbol
_atom_site_fract_x
_atom_site_fract_y
_atom_site_fract_z
Nd1 Nd 0.0718 0.1618 0.4483
Nd2 Nd 0.3435 0.6894 0.4463
Nd3 Nd 0.4011 0.0351 0.2750
Ag1 Ag 0.0000 0.0000 0.0000
Sn1 Sn 0.1594 0.1200 0.7549
```


[4]
The following is a simulated PXRD pattern of Cu2SiPbS4. It was derived from a crystal structure in Alexandria, relaxed with GGA-PBE, using Cu Kα X-rays.

Largest 10 diffraction maxima, most intense first, 10° ≤ 2θ ≤ 80°:
2θ = 34.0°, intensity 100, hkl 2 0 0; 2θ = 28.9°, intensity 63, hkl 1 0 4; 2θ = 38.4°, intensity 61, hkl 0 2 3; 2θ = 17.8°, intensity 55, hkl 1 0 1; 2θ = 29.3°, intensity 39, hkl 1 1 0; 2θ = 16.8°, intensity 35, hkl 1 0 0; 2θ = 24.3°, intensity 33, hkl 1 0 3; 2θ = 31.6°, intensity 29, hkl 1 1 2; 2θ = 55.0°, intensity 28, hkl 2 1 5; 2θ = 29.9°, intensity 28, hkl 1 1 1

Atomic structure:
```
data_Cu2SiPbS4
_symmetry_space_group_name_H-M 'P 32 2 1'
_symmetry_Int_Tables_number 154
_cell_length_a 6.0955
_cell_length_b 6.0955
_cell_length_c 15.2519
_cell_angle_alpha 90.00
_cell_angle_beta 90.00
_cell_angle_gamma 120.00
loop_
_symmetry_equiv_pos_as_xyz
'x,y,z'
'-y,x-y,z+2/3'
'-x+y,-x,z+1/3'
'y,x,-z'
'x-y,-y,-z+1/3'
'-x,-x+y,-z+2/3'
loop_
_atom_site_label
_atom_site_type_symbol
_atom_site_fract_x
_atom_site_fract_y
_atom_site_fract_z
Cu1 Cu 0.0900 0.6556 0.0893
Si1 Si 0.0000 0.7216 0.8333
Pb1 Pb 0.0000 0.5258 0.3333
S1 S 0.0271 0.5199 0.7222
S2 S 0.0967 0.3260 0.1653
```


[5]
The following is a simulated PXRD pattern of LiPrPtAu. It was derived from a crystal structure in Alexandria, relaxed with GGA-PBE, using Cu Kα X-rays.

Largest 10 diffraction maxima, most intense first, 10° ≤ 2θ ≤ 80°:
2θ = 40.5°, intensity 100, hkl 1 1 0; 2θ = 38.4°, intensity 94, hkl 0 1 5; 2θ = 33.6°, intensity 90, hkl 1 0 4; 2θ = 23.9°, intensity 68, hkl 1 0 1; 2θ = 26.1°, intensity 46, hkl 0 1 2; 2θ = 71.4°, intensity 32, hkl 1 1 9; 2θ = 57.1°, intensity 30, hkl 2 0 5; 2θ = 72.3°, intensity 30, hkl 1 2 5; 2θ = 53.6°, intensity 24, hkl 0 2 4; 2θ = 69.3°, intensity 22, hkl 2 1 4

Atomic structure:
```
data_LiPrPtAu
_symmetry_space_group_name_H-M 'R 3 m'
_symmetry_Int_Tables_number 160
_symmetry_space_group_name_Hall 'R 3 -2"'
_cell_length_a 4.4505
_cell_length_b 4.4505
_cell_length_c 14.7755
_cell_angle_alpha 90.00
_cell_angle_beta 90.00
_cell_angle_gamma 120.00
loop_
_atom_site_label
_atom_site_type_symbol
_atom_site_fract_x
_atom_site_fract_y
_atom_site_fract_z
Li1 Li 0.0000 0.0000 0.0000
Pr1 Pr 0.0000 0.0000 0.4912
Pt1 Pt 0.0000 0.0000 0.7100
Au1 Au 0.0000 0.0000 0.2801
```


[6]
The following is a simulated PXRD pattern of DyTmBi2. It was derived from a crystal structure in Alexandria, relaxed with GGA-PBE, using Cu Kα X-rays.

Largest 10 diffraction maxima, most intense first, 10° ≤ 2θ ≤ 80°:
2θ = 28.4°, intensity 100, hkl 1 0 2; 2θ = 40.5°, intensity 78, hkl 2 0 0; 2θ = 66.4°, intensity 37, hkl 3 0 2; 2θ = 50.2°, intensity 28, hkl 2 2 0; 2θ = 73.7°, intensity 28, hkl 3 2 2; 2θ = 58.7°, intensity 13, hkl 2 0 4; 2θ = 24.5°, intensity 2, hkl 1 1 0; 2θ = 47.9°, intensity 1, hkl 1 3 0; 2θ = 64.5°, intensity 1, hkl 3 1 0; 2θ = 79.0°, intensity 1, hkl 3 3 0

Atomic structure:
```
data_DyTmBi2
_symmetry_space_group_name_H-M 'P m m n'
_symmetry_Int_Tables_number 59
_cell_length_a 4.4515
_cell_length_b 6.2933
_cell_length_c 8.9048
_cell_angle_alpha 90.00
_cell_angle_beta 90.00
_cell_angle_gamma 90.00
loop_
_symmetry_equiv_pos_as_xyz
'x,y,z'
'-x,-y,-z'
'-x+1/2,-y+1/2,z'
'x+1/2,y+1/2,-z'
'x+1/2,-y,-z'
'-x+1/2,y,z'
'-x,y+1/2,-z'
'x,-y+1/2,z'
loop_
_atom_site_label
_atom_site_type_symbol
_atom_site_fract_x
_atom_site_fract_y
_atom_site_fract_z
Dy1 Dy 0.2500 0.2500 0.1251
Tm1 Tm 0.2500 0.2500 0.6248
Bi1 Bi 0.2500 0.7500 0.1274
Bi2 Bi 0.2500 0.7500 0.6227
```


[7]
The following is a simulated PXRD pattern of AcSi2Sn2Pt7. It was derived from a crystal structure in Alexandria, relaxed with GGA-PBE, using Cu Kα X-rays.

Largest 10 diffraction maxima, most intense first, 10° ≤ 2θ ≤ 80°:
2θ = 36.1°, intensity 100, hkl 2 0 2; 2θ = 33.6°, intensity 61, hkl 2 0 -3; 2θ = 45.2°, intensity 57, hkl 2 2 -1; 2θ = 28.8°, intensity 39, hkl 0 0 5; 2θ = 54.5°, intensity 27, hkl 2 2 -6; 2θ = 77.5°, intensity 23, hkl 4 2 1; 2θ = 32.1°, intensity 22, hkl 2 0 0; 2θ = 47.6°, intensity 21, hkl 0 2 6; 2θ = 43.2°, intensity 21, hkl 2 0 4; 2θ = 62.5°, intensity 20, hkl 2 2 6

Atomic structure:
```
data_AcSi2Sn2Pt7
_symmetry_space_group_name_H-M 'C 1 2/m 1'
_symmetry_Int_Tables_number 12
_cell_length_a 5.6725
_cell_length_b 5.6755
_cell_length_c 15.7398
_cell_angle_alpha 90.00
_cell_angle_beta 100.27
_cell_angle_gamma 90.00
loop_
_symmetry_equiv_pos_as_xyz
'x,y,z'
'-x,-y,-z'
'-x,y,-z'
'x,-y,z'
'x+1/2,y+1/2,z'
'-x+1/2,-y+1/2,-z'
'-x+1/2,y+1/2,-z'
'x+1/2,-y+1/2,z'
loop_
_atom_site_label
_atom_site_type_symbol
_atom_site_fract_x
_atom_site_fract_y
_atom_site_fract_z
Ac1 Ac 0.0000 0.0000 0.0000
Si1 Si 0.1211 0.5000 0.2441
Sn1 Sn 0.2112 0.0000 0.4238
Pt1 Pt 0.0000 0.5000 0.0000
Pt2 Pt 0.1710 0.2501 0.8407
Pt3 Pt 0.1976 0.5000 0.3948
```


[8]
The following is a simulated PXRD pattern of Tl3Tc. It was derived from a crystal structure in Alexandria, relaxed with GGA-PBE, using Cu Kα X-rays.

Largest 10 diffraction maxima, most intense first, 10° ≤ 2θ ≤ 80°:
2θ = 37.1°, intensity 100, hkl 1 1 2; 2θ = 26.4°, intensity 95, hkl 0 1 3; 2θ = 43.3°, intensity 51, hkl 1 0 5; 2θ = 37.8°, intensity 39, hkl 0 2 0; 2θ = 37.7°, intensity 35, hkl 0 0 6; 2θ = 63.3°, intensity 31, hkl 1 1 8; 2θ = 54.4°, intensity 24, hkl 0 2 6; 2θ = 29.9°, intensity 22, hkl 1 0 1; 2θ = 73.6°, intensity 21, hkl 2 2 0; 2θ = 34.9°, intensity 19, hkl 1 0 3

Atomic structure:
```
data_Tl3Tc
_symmetry_space_group_name_H-M 'I m m m'
_symmetry_Int_Tables_number 71
_symmetry_space_group_name_Hall '-I 2 2'
_cell_length_a 3.0552
_cell_length_b 4.7645
_cell_length_c 14.3315
_cell_angle_alpha 90.00
_cell_angle_beta 90.00
_cell_angle_gamma 90.00
loop_
_atom_site_label
_atom_site_type_symbol
_atom_site_fract_x
_atom_site_fract_y
_atom_site_fract_z
Tl1 Tl 0.0000 0.0000 0.0000
Tl2 Tl 0.0000 0.5000 0.1785
Tc1 Tc 0.0000 0.0000 0.5000
```